Starting from a PBE-relaxed structure, the powder diffraction line list of La2Er4Tm was calculated for copper Kα.
Peak positions follow from Bragg's law for the DFT cell and can differ from measured ones.

Structural model:
```
La2Er4Tm
1.0
8.260 -3.375 0.000
8.260 3.375 0.000
-8.143 0.000 8.260
La Er Tm
4 8 2
Cartesian
0.000 0.000 0.000 La
-4.243 0.810 8.034 La
12.621 0.810 0.226 La
4.189 -3.361 4.130 La
2.116 1.882 6.149 Er
6.261 1.882 2.112 Er
-1.127 -0.096 6.979 Er
2.896 -0.093 2.911 Er
2.122 -1.110 6.182 Er
5.481 -0.093 5.349 Er
9.504 -0.096 1.281 Er
6.256 -1.110 2.078 Er
-0.130 0.791 3.945 Tm
8.507 0.791 4.315 Tm
```

Top 12 peaks for 10° ≤ 2θ ≤ 80°, sorted by position:
d = 3.391 Å, 26.28 deg, I = 15
d = 2.927 Å, 30.54 deg, I = 100
d = 2.917 Å, 30.65 deg, I = 46
d = 2.900 Å, 30.84 deg, I = 58
d = 2.623 Å, 34.18 deg, I = 35
d = 2.613 Å, 34.32 deg, I = 50
d = 2.203 Å, 40.97 deg, I = 12
d = 2.060 Å, 43.95 deg, I = 20
d = 1.679 Å, 54.68 deg, I = 23
d = 1.627 Å, 56.56 deg, I = 20
d = 1.620 Å, 56.85 deg, I = 24
d = 1.614 Å, 57.06 deg, I = 20